[1]
This entry pairs a crystal structure of Cd5HgAu2 with its computed X-ray diffraction stick pattern. Radiation: Cu Kα (weighted mean of Kα1 and Kα2). Structure: the GGA-PBE geometry in Alexandria.

```
data_Cd5HgAu2
_space_group_name_H-M_alt 'P 1'
_space_group_IT_number 1
_cell_length_a 6.0543
_cell_length_b 6.0544
_cell_length_c 6.0807
_cell_angle_alpha 98.46
_cell_angle_beta 113.53
_cell_angle_gamma 116.81
loop_
_space_group_symop_operation_xyz
'x,y,z'
loop_
_atom_site_label
_atom_site_type_symbol
_atom_site_fract_x
_atom_site_fract_y
_atom_site_fract_z
Cd1 Cd 0.0000 0.0000 0.0000
Cd2 Cd 0.0040 0.5451 0.5519
Cd3 Cd 0.4934 0.4961 0.9990
Cd4 Cd 0.5000 0.0421 0.5490
Cd5 Cd 0.9661 0.0181 0.4891
Hg1 Hg 0.4724 0.5192 0.4952
Au1 Au 0.0144 0.5227 0.0456
Au2 Au 0.5248 0.0229 0.0499
```

Main lines, most intense first (2θ = 5–70°):
two_theta, I/Imax, (hkl)
36.28, 100.0, 0 2 0
39.25, 78.1, 2 0 0
35.35, 51.4, 2 -2 0
35.12, 50.3, 0 0 2
45.80, 25.8, -2 2 2
62.01, 18.2, 2 -4 0
61.72, 17.1, 0 2 2
69.93, 13.7, 4 0 -2
69.80, 13.3, 2 2 0
58.17, 12.9, 2 2 -2


[2]
This entry pairs a crystal structure of Cd7HgAu5 with its computed X-ray diffraction stick pattern. Radiation: Cu Kα (weighted mean of Kα1 and Kα2). Structure: the GGA-PBE geometry in Alexandria.

```
data_Cd7HgAu5
_space_group_name_H-M_alt 'I m m 2'
_space_group_IT_number 44
_cell_length_a 5.6947
_cell_length_b 9.8883
_cell_length_c 9.9376
_cell_angle_alpha 90.00
_cell_angle_beta 90.00
_cell_angle_gamma 90.00
loop_
_space_group_symop_operation_xyz
'x,y,z'
'-x,-y,z'
'-x,y,z'
'x,-y,z'
'x+1/2,y+1/2,z+1/2'
'-x+1/2,-y+1/2,z+1/2'
'-x+1/2,y+1/2,z+1/2'
'x+1/2,-y+1/2,z+1/2'
loop_
_atom_site_label
_atom_site_type_symbol
_atom_site_fract_x
_atom_site_fract_y
_atom_site_fract_z
Cd1 Cd 0.0000 0.0000 0.0000
Cd2 Cd 0.0000 0.0000 0.3292
Cd3 Cd 0.0000 0.3202 0.6455
Cd4 Cd 0.0000 0.3333 0.1359
Cd5 Cd 0.0000 0.5000 0.3903
Hg1 Hg 0.0000 0.0000 0.6577
Au1 Au 0.0000 0.5000 0.8781
Au2 Au 0.2500 0.2464 0.8939
```

Main lines, most intense first (2θ = 5–70°):
two_theta, I/Imax, (hkl)
36.36, 100.0, 0 4 0
40.81, 66.5, 2 2 2
36.17, 30.6, 0 0 4
17.87, 21.6, 0 0 2
65.14, 14.1, 2 0 6
65.43, 13.4, 2 6 0
52.25, 12.2, 2 2 4
40.65, 12.1, 0 2 4
31.37, 12.0, 1 3 0
28.42, 9.5, 0 1 3


[3]
This entry pairs a crystal structure of Ho2CdHgAu4 with its computed X-ray diffraction stick pattern. Radiation: Cu Kα (weighted mean of Kα1 and Kα2). Structure: the GGA-PBE geometry in Alexandria.

```
data_Ho2CdHgAu4
_space_group_name_H-M_alt 'R -3 m'
_space_group_IT_number 166
_space_group_name_Hall '-R 3 2"'
_cell_length_a 4.9347
_cell_length_b 4.9347
_cell_length_c 24.0431
_cell_angle_alpha 90.00
_cell_angle_beta 90.00
_cell_angle_gamma 120.00
loop_
_atom_site_label
_atom_site_type_symbol
_atom_site_fract_x
_atom_site_fract_y
_atom_site_fract_z
Ho1 Ho 0.0000 0.0000 0.2481
Cd1 Cd 0.0000 0.0000 0.0000
Hg1 Hg 0.0000 0.0000 0.5000
Au1 Au 0.0000 0.0000 0.1221
Au2 Au 0.0000 0.0000 0.3729
```

Main lines, most intense first (2θ = 5–70°):
two_theta, I/Imax, (hkl)
36.41, 100.0, 1 1 0
36.55, 97.9, 0 1 8
65.59, 54.2, 3 0 0
52.55, 34.9, 2 0 8
65.89, 17.2, 1 0 16
25.58, 2.6, 1 0 4
33.47, 1.9, 1 0 7
69.99, 1.2, 1 1 15
11.04, 1.1, 0 0 3
27.93, 1.1, 0 1 5


[4]
This entry pairs a crystal structure of Li3Cd2Hg4Au2 with its computed X-ray diffraction stick pattern. Radiation: Cu Kα (weighted mean of Kα1 and Kα2). Structure: the GGA-PBE geometry in Alexandria.

```
data_Li3Cd2Hg4Au2
_space_group_name_H-M_alt 'P -3 m 1'
_space_group_IT_number 164
_space_group_name_Hall '-P 3 2"'
_cell_length_a 4.6511
_cell_length_b 4.6511
_cell_length_c 13.6250
_cell_angle_alpha 90.00
_cell_angle_beta 90.00
_cell_angle_gamma 120.00
loop_
_atom_site_label
_atom_site_type_symbol
_atom_site_fract_x
_atom_site_fract_y
_atom_site_fract_z
Li1 Li 0.0000 0.0000 0.0000
Li2 Li 0.0000 0.0000 0.2242
Cd1 Cd 0.3333 0.6667 0.5645
Hg1 Hg 0.3333 0.6667 0.3414
Hg2 Hg 0.3333 0.6667 0.9149
Au1 Au 0.3333 0.6667 0.1377
```

Main lines, most intense first (2θ = 5–70°):
two_theta, I/Imax, (hkl)
38.72, 100.0, 1 1 0
22.07, 96.8, 1 0 0
39.94, 92.3, 1 0 5
47.33, 40.2, 1 1 4
23.03, 33.4, 1 0 1
56.85, 33.1, 0 2 5
26.16, 32.2, 0 0 4
6.49, 27.1, 0 0 1
34.48, 26.8, 0 1 4
65.91, 19.7, 1 0 9


[5]
This entry pairs a crystal structure of Li3Cd3Hg2Au with its computed X-ray diffraction stick pattern. Radiation: Cu Kα (weighted mean of Kα1 and Kα2). Structure: the GGA-PBE geometry in Alexandria.

```
data_Li3Cd3Hg2Au
_space_group_name_H-M_alt 'P -6 2 m'
_space_group_IT_number 189
_space_group_name_Hall 'P -6 -2'
_cell_length_a 8.1148
_cell_length_b 8.1148
_cell_length_c 3.1809
_cell_angle_alpha 90.00
_cell_angle_beta 90.00
_cell_angle_gamma 120.00
loop_
_atom_site_label
_atom_site_type_symbol
_atom_site_fract_x
_atom_site_fract_y
_atom_site_fract_z
Li1 Li 0.0000 0.3635 0.0000
Cd1 Cd 0.0000 0.7066 0.5000
Hg1 Hg 0.3333 0.6667 0.5000
Au1 Au 0.0000 0.0000 0.0000
```

Main lines, most intense first (2θ = 5–70°):
two_theta, I/Imax, (hkl)
21.91, 100.0, 1 1 0
38.43, 75.8, 3 0 0
44.43, 53.7, 2 1 1
38.16, 45.2, 2 0 1
30.86, 39.9, 1 0 1
64.83, 24.9, 3 2 1
48.25, 21.7, 3 0 1
28.05, 20.5, 0 0 1
35.87, 20.2, 1 1 1
44.67, 15.4, 2 2 0


[6]
This entry pairs a crystal structure of Li2Cd2HgAu4 with its computed X-ray diffraction stick pattern. Radiation: Cu Kα (weighted mean of Kα1 and Kα2). Structure: the GGA-PBE geometry in Alexandria.

```
data_Li2Cd2HgAu4
_space_group_name_H-M_alt 'I 4/m m m'
_space_group_IT_number 139
_space_group_name_Hall '-I 4 2'
_cell_length_a 6.7897
_cell_length_b 6.7897
_cell_length_c 7.8148
_cell_angle_alpha 90.00
_cell_angle_beta 90.00
_cell_angle_gamma 90.00
loop_
_atom_site_label
_atom_site_type_symbol
_atom_site_fract_x
_atom_site_fract_y
_atom_site_fract_z
Li1 Li 0.0000 0.0000 0.1877
Cd1 Cd 0.0000 0.5000 0.2500
Hg1 Hg 0.0000 0.0000 0.5000
Au1 Au 0.2165 0.2165 0.0000
```

Main lines, most intense first (2θ = 5–70°):
two_theta, I/Imax, (hkl)
35.01, 100.0, 2 0 2
37.46, 87.4, 2 2 0
22.76, 71.2, 0 0 2
29.47, 56.9, 1 1 2
31.61, 54.6, 2 1 1
41.54, 48.1, 3 0 1
61.16, 41.2, 2 2 4
44.28, 35.9, 2 2 2
46.48, 29.4, 0 0 4
53.65, 23.9, 3 0 3


[7]
This entry pairs a crystal structure of Na2Cd6HgAu with its computed X-ray diffraction stick pattern. Radiation: Cu Kα (weighted mean of Kα1 and Kα2). Structure: the GGA-PBE geometry in Alexandria.

```
data_Na2Cd6HgAu
_space_group_name_H-M_alt 'P m m n'
_space_group_IT_number 59
_cell_length_a 7.6916
_cell_length_b 9.5245
_cell_length_c 6.9053
_cell_angle_alpha 90.00
_cell_angle_beta 90.00
_cell_angle_gamma 90.00
loop_
_space_group_symop_operation_xyz
'x,y,z'
'-x,-y,-z'
'-x+1/2,-y+1/2,z'
'x+1/2,y+1/2,-z'
'x+1/2,-y,-z'
'-x+1/2,y,z'
'-x,y+1/2,-z'
'x,-y+1/2,z'
loop_
_atom_site_label
_atom_site_type_symbol
_atom_site_fract_x
_atom_site_fract_y
_atom_site_fract_z
Na1 Na 0.2500 0.0374 0.1447
Cd1 Cd 0.0557 0.7500 0.9504
Cd2 Cd 0.0579 0.2500 0.4554
Cd3 Cd 0.2500 0.5301 0.6626
Hg1 Hg 0.2500 0.7500 0.3181
Au1 Au 0.2500 0.2500 0.8149
```

Main lines, most intense first (2θ = 5–70°):
two_theta, I/Imax, (hkl)
18.63, 100.0, 0 2 0
34.13, 96.4, 1 2 2
28.16, 72.8, 2 1 1
39.03, 62.3, 2 3 1
38.63, 59.8, 3 1 1
34.92, 53.6, 2 0 2
37.78, 53.1, 0 4 0
42.06, 43.8, 1 1 3
68.41, 33.4, 3 2 4
39.87, 33.1, 2 2 2


[8]
This entry pairs a crystal structure of CdHgPtAu with its computed X-ray diffraction stick pattern. Radiation: Cu Kα (weighted mean of Kα1 and Kα2). Structure: the GGA-PBE geometry in Alexandria.

```
data_CdHgPtAu
_space_group_name_H-M_alt 'F -4 3 m'
_space_group_IT_number 216
_space_group_name_Hall 'F -4 2 3'
_cell_length_a 6.7081
_cell_length_b 6.7081
_cell_length_c 6.7081
_cell_angle_alpha 90.00
_cell_angle_beta 90.00
_cell_angle_gamma 90.00
loop_
_atom_site_label
_atom_site_type_symbol
_atom_site_fract_x
_atom_site_fract_y
_atom_site_fract_z
Cd1 Cd 0.0000 0.0000 0.0000
Hg1 Hg 0.0000 0.0000 0.5000
Pt1 Pt 0.2500 0.2500 0.2500
Au1 Au 0.2500 0.2500 0.7500
```

Main lines, most intense first (2θ = 5–70°):
two_theta, I/Imax, (hkl)
37.94, 100.0, 2 2 0
68.53, 35.7, 4 2 2
54.73, 17.4, 4 0 0
22.96, 3.3, 1 1 1
44.81, 2.0, 3 1 1
26.58, 1.3, 2 0 0
60.12, 0.9, 3 3 1
61.85, 0.6, 4 2 0


[9]
This entry pairs a crystal structure of PuCd4HgAu2 with its computed X-ray diffraction stick pattern. Radiation: Cu Kα (weighted mean of Kα1 and Kα2). Structure: the GGA-PBE geometry in Alexandria.

```
data_PuCd4HgAu2
_space_group_name_H-M_alt 'P 4/m m m'
_space_group_IT_number 123
_space_group_name_Hall '-P 4 2'
_cell_length_a 4.3161
_cell_length_b 4.3161
_cell_length_c 10.4646
_cell_angle_alpha 90.00
_cell_angle_beta 90.00
_cell_angle_gamma 90.00
loop_
_atom_site_label
_atom_site_type_symbol
_atom_site_fract_x
_atom_site_fract_y
_atom_site_fract_z
Pu1 Pu 0.0000 0.0000 0.0000
Cd1 Cd 0.0000 0.5000 0.3057
Hg1 Hg 0.0000 0.0000 0.5000
Au1 Au 0.5000 0.5000 0.1282
```

Main lines, most intense first (2θ = 5–70°):
two_theta, I/Imax, (hkl)
34.01, 100.0, 1 1 2
41.86, 79.4, 2 0 0
40.31, 73.5, 1 0 4
26.78, 62.5, 1 0 2
39.22, 50.1, 1 1 3
30.51, 48.5, 1 1 1
59.52, 47.7, 2 1 4
22.28, 27.9, 1 0 1
60.69, 26.4, 2 2 0
50.39, 23.1, 2 1 2


[10]
This entry pairs a crystal structure of TlCdHgAu with its computed X-ray diffraction stick pattern. Radiation: Cu Kα (weighted mean of Kα1 and Kα2). Structure: the GGA-PBE geometry in Alexandria.

```
data_TlCdHgAu
_space_group_name_H-M_alt 'F -4 3 m'
_space_group_IT_number 216
_space_group_name_Hall 'F -4 2 3'
_cell_length_a 7.3275
_cell_length_b 7.3275
_cell_length_c 7.3275
_cell_angle_alpha 90.00
_cell_angle_beta 90.00
_cell_angle_gamma 90.00
loop_
_atom_site_label
_atom_site_type_symbol
_atom_site_fract_x
_atom_site_fract_y
_atom_site_fract_z
Tl1 Tl 0.0000 0.0000 0.0000
Cd1 Cd 0.0000 0.0000 0.5000
Hg1 Hg 0.2500 0.2500 0.7500
Au1 Au 0.2500 0.2500 0.2500
```

Main lines, most intense first (2θ = 5–70°):
two_theta, I/Imax, (hkl)
34.62, 100.0, 2 2 0
62.05, 37.4, 4 2 2
49.78, 18.1, 4 0 0
21.00, 3.1, 1 1 1
40.85, 1.8, 3 1 1
24.29, 1.6, 2 0 0
54.59, 0.9, 3 3 1
56.13, 0.8, 4 2 0
66.28, 0.7, 5 1 1
42.75, 0.6, 2 2 2


[11]
This entry pairs a crystal structure of Tl2Cd6HgAu with its computed X-ray diffraction stick pattern. Radiation: Cu Kα (weighted mean of Kα1 and Kα2). Structure: the GGA-PBE geometry in Alexandria.

```
data_Tl2Cd6HgAu
_space_group_name_H-M_alt 'P m m n'
_space_group_IT_number 59
_cell_length_a 8.2120
_cell_length_b 9.9359
_cell_length_c 6.7660
_cell_angle_alpha 90.00
_cell_angle_beta 90.00
_cell_angle_gamma 90.00
loop_
_space_group_symop_operation_xyz
'x,y,z'
'-x,-y,-z'
'-x+1/2,-y+1/2,z'
'x+1/2,y+1/2,-z'
'x+1/2,-y,-z'
'-x+1/2,y,z'
'-x,y+1/2,-z'
'x,-y+1/2,z'
loop_
_atom_site_label
_atom_site_type_symbol
_atom_site_fract_x
_atom_site_fract_y
_atom_site_fract_z
Tl1 Tl 0.2500 0.0273 0.2244
Cd1 Cd 0.0718 0.2500 0.9094
Cd2 Cd 0.0762 0.7500 0.5332
Cd3 Cd 0.2500 0.5051 0.7168
Hg1 Hg 0.2500 0.7500 0.9671
Au1 Au 0.2500 0.2500 0.5356
```

Main lines, most intense first (2θ = 5–70°):
two_theta, I/Imax, (hkl)
32.01, 100.0, 0 2 2
36.55, 53.4, 3 1 1
21.64, 45.0, 2 0 0
36.16, 42.9, 0 4 0
38.97, 40.3, 2 2 2
45.01, 33.3, 3 3 1
24.74, 21.6, 1 2 1
55.52, 21.3, 4 2 2
42.53, 20.1, 2 4 0
28.20, 19.9, 2 2 0


[12]
This entry pairs a crystal structure of HoCd6Au with its computed X-ray diffraction stick pattern. Radiation: Cu Kα (weighted mean of Kα1 and Kα2). Structure: the GGA-PBE geometry in Alexandria.

```
data_HoCd6Au
_space_group_name_H-M_alt 'A m m 2'
_space_group_IT_number 38
_cell_length_a 4.8545
_cell_length_b 5.9553
_cell_length_c 12.6386
_cell_angle_alpha 90.00
_cell_angle_beta 90.00
_cell_angle_gamma 90.00
loop_
_space_group_symop_operation_xyz
'x,y,z'
'-x,-y,z'
'-x,y,z'
'x,-y,z'
'x,y+1/2,z+1/2'
'-x,-y+1/2,z+1/2'
'-x,y+1/2,z+1/2'
'x,-y+1/2,z+1/2'
loop_
_atom_site_label
_atom_site_type_symbol
_atom_site_fract_x
_atom_site_fract_y
_atom_site_fract_z
Ho1 Ho 0.0000 0.0000 0.0000
Cd1 Cd 0.0000 0.2411 0.7347
Cd2 Cd 0.5000 0.0000 0.1593
Cd3 Cd 0.5000 0.0000 0.5970
Cd4 Cd 0.5000 0.2429 0.8837
Au1 Au 0.0000 0.0000 0.4384
```

Main lines, most intense first (2θ = 5–70°):
two_theta, I/Imax, (hkl)
38.21, 100.0, 1 2 2
33.85, 63.3, 1 0 4
37.04, 42.8, 2 0 0
33.26, 32.4, 0 2 2
31.89, 27.9, 1 1 3
50.62, 19.4, 2 2 2
67.53, 18.4, 3 2 2
53.27, 11.1, 0 2 6
66.65, 11.1, 2 2 6
28.24, 9.5, 0 0 4


[13]
This entry pairs a crystal structure of Ho3Cd3Au2 with its computed X-ray diffraction stick pattern. Radiation: Cu Kα (weighted mean of Kα1 and Kα2). Structure: the GGA-PBE geometry in Alexandria.

```
data_Ho3Cd3Au2
_space_group_name_H-M_alt 'P -6 2 m'
_space_group_IT_number 189
_space_group_name_Hall 'P -6 -2'
_cell_length_a 7.7058
_cell_length_b 7.7058
_cell_length_c 3.7545
_cell_angle_alpha 90.00
_cell_angle_beta 90.00
_cell_angle_gamma 120.00
loop_
_atom_site_label
_atom_site_type_symbol
_atom_site_fract_x
_atom_site_fract_y
_atom_site_fract_z
Ho1 Ho 0.0000 0.4178 0.0000
Cd1 Cd 0.0000 0.7750 0.5000
Au1 Au 0.3333 0.6667 0.5000
```

Main lines, most intense first (2θ = 5–70°):
two_theta, I/Imax, (hkl)
33.32, 100.0, 1 1 1
35.59, 63.0, 2 1 0
36.01, 62.9, 2 0 1
61.58, 25.1, 2 1 2
13.27, 22.6, 1 0 0
69.20, 22.6, 4 1 1
55.34, 20.3, 3 1 1
40.55, 18.1, 3 0 0
48.49, 17.1, 0 0 2
65.89, 15.7, 3 2 1


[14]
This entry pairs a crystal structure of Ho4CdAu3 with its computed X-ray diffraction stick pattern. Radiation: Cu Kα (weighted mean of Kα1 and Kα2). Structure: the GGA-PBE geometry in Alexandria.

```
data_Ho4CdAu3
_space_group_name_H-M_alt 'P m m m'
_space_group_IT_number 47
_cell_length_a 3.6172
_cell_length_b 5.1078
_cell_length_c 10.2424
_cell_angle_alpha 90.00
_cell_angle_beta 90.00
_cell_angle_gamma 90.00
loop_
_space_group_symop_operation_xyz
'x,y,z'
'-x,-y,-z'
'-x,-y,z'
'x,y,-z'
'x,-y,-z'
'-x,y,z'
'-x,y,-z'
'x,-y,z'
loop_
_atom_site_label
_atom_site_type_symbol
_atom_site_fract_x
_atom_site_fract_y
_atom_site_fract_z
Ho1 Ho 0.0000 0.0000 0.0000
Ho2 Ho 0.0000 0.0000 0.5000
Ho3 Ho 0.0000 0.5000 0.2401
Cd1 Cd 0.5000 0.5000 0.5000
Au1 Au 0.5000 0.0000 0.2598
Au2 Au 0.5000 0.5000 0.0000
```

Main lines, most intense first (2θ = 5–70°):
two_theta, I/Imax, (hkl)
35.09, 100.0, 0 2 0
62.92, 23.9, 2 2 0
50.47, 17.8, 2 0 0
63.01, 12.3, 1 3 2
8.63, 1.2, 0 0 1
19.42, 1.2, 0 1 1
36.19, 0.9, 1 0 3
51.31, 0.8, 1 2 3
47.84, 0.7, 0 1 5
17.34, 0.6, 0 1 0